# 1
# InCu4
Calculated X-ray diffraction stick pattern, copper Kα. Input: a GGA-PBE-relaxed structure.
Kinematic intensities with the Lorentz-polarization factor, no thermal factor.

Cell and atoms:
Lattice parameters (Å, degrees): 7.1914 7.1914 7.1914 146.52 136.68 55.84
Sites, in units of the cell vectors:
In1 0.3558 0.1058 0.2500
In2 0.6442 0.8942 0.7500
Cu1 0.0000 0.5000 0.5000
Cu2 0.1333 0.8833 0.2500
Cu3 0.1803 0.6968 0.4835
Cu4 0.2867 0.3032 0.9835
Cu5 0.5000 0.5000 0.0000
Cu6 0.7133 0.6968 0.0165
Cu7 0.8197 0.3032 0.5165
Cu8 0.8667 0.1167 0.7500

The 8 most intense peaks (2θ = 10–80°), sorted by position:
| 2θ (°) | I/Imax |
| --- | --- |
| 41.00 | 95 |
| 41.69 | 100 |
| 43.69 | 46 |
| 44.47 | 42 |
| 45.91 | 18 |
| 55.50 | 14 |
| 64.11 | 26 |
| 78.88 | 14 |

# 2
# In3Cu
Calculated X-ray diffraction stick pattern, copper Kα. Input: a GGA-PBE-relaxed structure.
Kinematic intensities with the Lorentz-polarization factor, no thermal factor.

Cell and atoms:
Lattice parameters (Å, degrees): 3.6053 8.8120 5.8937 90.00 90.00 90.00
Sites, in units of the cell vectors:
In1 0.0000 0.0000 0.0000
In2 0.0000 0.1943 0.4412
In3 0.0000 0.8057 0.4412
In4 0.5000 0.3057 0.9412
In5 0.5000 0.5000 0.5000
In6 0.5000 0.6943 0.9412
Cu1 0.0000 0.5000 0.1593
Cu2 0.5000 0.0000 0.6593

The 8 most intense peaks (2θ = 10–80°), sorted by position:
| 2θ (°) | I/Imax |
| --- | --- |
| 26.72 | 17 |
| 29.03 | 20 |
| 30.33 | 29 |
| 34.10 | 49 |
| 35.60 | 100 |
| 40.86 | 37 |
| 50.64 | 17 |
| 67.11 | 25 |

# 3
# In5Cu4
Calculated X-ray diffraction stick pattern, copper Kα. Input: a GGA-PBE-relaxed structure.
Kinematic intensities with the Lorentz-polarization factor, no thermal factor.

Cell and atoms:
Lattice parameters (Å, degrees): 8.1183 8.1183 6.1198 90.00 90.00 120.00
Sites, in units of the cell vectors:
In1 0.0000 0.2823 0.2500
In2 0.0000 0.7177 0.7500
In3 0.2823 0.0000 0.2500
In4 0.2823 0.2823 0.7500
In5 0.3333 0.6667 0.0000
In6 0.3333 0.6667 0.5000
In7 0.6667 0.3333 0.0000
In8 0.6667 0.3333 0.5000
In9 0.7177 0.0000 0.7500
In10 0.7177 0.7177 0.2500
Cu1 0.0000 0.0000 0.0000
Cu2 0.0000 0.0000 0.5000
Cu3 0.0000 0.3796 0.7500
Cu4 0.0000 0.6204 0.2500
Cu5 0.3796 0.0000 0.7500
Cu6 0.3796 0.3796 0.2500
Cu7 0.6204 0.0000 0.2500
Cu8 0.6204 0.6204 0.7500

The 8 most intense peaks (2θ = 10–80°), sorted by position:
| 2θ (°) | I/Imax |
| --- | --- |
| 26.35 | 7 |
| 36.81 | 100 |
| 38.41 | 53 |
| 49.02 | 7 |
| 54.23 | 18 |
| 56.90 | 7 |
| 68.40 | 12 |
| 73.99 | 14 |

# 4
# In5Cu24
Calculated X-ray diffraction stick pattern, copper Kα. Input: a GGA-PBE-relaxed structure.
Kinematic intensities with the Lorentz-polarization factor, no thermal factor.

Cell and atoms:
Lattice parameters (Å, degrees): 8.0170 8.0170 8.0170 109.47 109.47 109.47
Sites, in units of the cell vectors:
In1 0.0000 0.0000 0.0000
In2 0.0000 0.0000 0.3779
In3 0.0000 0.3779 0.0000
In4 0.3779 0.0000 0.0000
In5 0.6221 0.6221 0.6221
Cu1 0.0000 0.3255 0.5956
Cu2 0.0000 0.5956 0.3255
Cu3 0.0000 0.6219 0.8082
Cu4 0.0000 0.8082 0.6219
Cu5 0.1863 0.3781 0.3781
Cu6 0.1918 0.1918 0.8137
Cu7 0.1918 0.8137 0.1918
Cu8 0.2701 0.6745 0.6745
Cu9 0.3255 0.0000 0.5956
Cu10 0.3255 0.5956 0.0000
Cu11 0.3781 0.1863 0.3781
Cu12 0.3781 0.3781 0.1863
Cu13 0.4044 0.4044 0.7299
Cu14 0.4044 0.7299 0.4044
Cu15 0.5956 0.0000 0.3255
Cu16 0.5956 0.3255 0.0000
Cu17 0.6219 0.0000 0.8082
Cu18 0.6219 0.8082 0.0000
Cu19 0.6745 0.2701 0.6745
Cu20 0.6745 0.6745 0.2701
Cu21 0.7299 0.4044 0.4044
Cu22 0.8082 0.0000 0.6219
Cu23 0.8082 0.6219 0.0000
Cu24 0.8137 0.1918 0.1918

The 8 most intense peaks (2θ = 10–80°), sorted by position:
| 2θ (°) | I/Imax |
| --- | --- |
| 36.31 | 7 |
| 41.38 | 100 |
| 45.98 | 23 |
| 48.16 | 11 |
| 61.78 | 6 |
| 70.48 | 5 |
| 72.15 | 11 |
| 75.46 | 20 |

# 5
# In8Cu
Calculated X-ray diffraction stick pattern, copper Kα. Input: a GGA-PBE-relaxed structure.
Kinematic intensities with the Lorentz-polarization factor, no thermal factor.

Cell and atoms:
Lattice parameters (Å, degrees): 7.4582 7.4582 7.4582 95.29 95.29 144.66
Sites, in units of the cell vectors:
In1 0.0000 0.3240 0.3240
In2 0.0000 0.6760 0.6760
In3 0.3240 0.0000 0.3240
In4 0.3434 0.3434 0.6869
In5 0.3434 0.6566 0.0000
In6 0.6566 0.3434 0.0000
In7 0.6566 0.6566 0.3131
In8 0.6760 0.0000 0.6760
Cu1 0.0000 0.0000 0.0000

The 8 most intense peaks (2θ = 10–80°), sorted by position:
| 2θ (°) | I/Imax |
| --- | --- |
| 33.27 | 100 |
| 37.99 | 34 |
| 39.82 | 16 |
| 54.81 | 11 |
| 56.21 | 21 |
| 65.64 | 25 |
| 68.15 | 12 |
| 69.86 | 10 |

# 6
# In9Cu11
Calculated X-ray diffraction stick pattern, copper Kα. Input: a GGA-PBE-relaxed structure.
Kinematic intensities with the Lorentz-polarization factor, no thermal factor.

Cell and atoms:
Lattice parameters (Å, degrees): 6.8236 6.8236 12.9764 108.88 108.88 37.53
Sites, in units of the cell vectors:
In1 0.0000 0.0000 0.0000
In2 0.1314 0.1314 0.2576
In3 0.1711 0.1711 0.5259
In4 0.3244 0.3244 0.9784
In5 0.3771 0.3771 0.2650
In6 0.6229 0.6229 0.7350
In7 0.6756 0.6756 0.0216
In8 0.8289 0.8289 0.4741
In9 0.8686 0.8686 0.7424
Cu1 0.0223 0.0223 0.6326
Cu2 0.1071 0.1071 0.8579
Cu3 0.2514 0.2514 0.7518
Cu4 0.3925 0.3925 0.6286
Cu5 0.4744 0.4744 0.8530
Cu6 0.5000 0.5000 0.5000
Cu7 0.5256 0.5256 0.1470
Cu8 0.6075 0.6075 0.3714
Cu9 0.7486 0.7486 0.2482
Cu10 0.8929 0.8929 0.1421
Cu11 0.9777 0.9777 0.3674

The 8 most intense peaks (2θ = 10–80°), sorted by position:
| 2θ (°) | I/Imax |
| --- | --- |
| 29.02 | 49 |
| 29.29 | 18 |
| 32.67 | 21 |
| 37.27 | 15 |
| 40.86 | 33 |
| 41.12 | 57 |
| 41.59 | 95 |
| 41.90 | 100 |